Theoretical X-ray diffraction stick pattern of AcPm5Pb2 for Cu Kα, 1.54184 Å, from DFT lattice parameters and positions (GGA-PBE).
Peak positions follow from Bragg's law for the DFT cell and can differ from measured ones.

Principal peaks in the range 10° ≤ 2θ ≤ 80°, low angle first:
d 3.460, rel. 30, hkl 1 1 2; d 3.308, rel. 55, hkl 1 2 1; d 3.021, rel. 100, hkl 1 0 3; d 2.740, rel. 44, hkl 1 3 0; d 2.550, rel. 48, hkl 0 2 4; d 2.486, rel. 35, hkl 1 3 2; d 2.356, rel. 36, hkl 2 0 0; d 1.730, rel. 30, hkl 2 2 4

Atomic structure:
Unit cell a=4.7113 b=10.1056 c=11.8132 alpha=90.00 beta=90.00 gamma=90.00
Fractional coordinates of all 16 atoms:
Ac 0.0000 0.0000 0.0000
Ac 0.5000 0.5000 0.5000
Pm 0.0000 0.1902 0.3484
Pm 0.0000 0.1902 0.6516
Pm 0.0000 0.5000 0.0000
Pm 0.0000 0.8098 0.3484
Pm 0.0000 0.8098 0.6516
Pm 0.5000 0.0000 0.5000
Pm 0.5000 0.3098 0.1516
Pm 0.5000 0.3098 0.8484
Pm 0.5000 0.6902 0.1516
Pm 0.5000 0.6902 0.8484
Pb 0.0000 0.5000 0.2803
Pb 0.0000 0.5000 0.7197
Pb 0.5000 0.0000 0.2197
Pb 0.5000 0.0000 0.7803